This entry pairs a crystal structure of NaSc2MnS4 with its calculated powder X-ray diffraction pattern. Radiation: Cu Kα. Structure: the GGA-PBE geometry in Alexandria.
Lines closer than 0.1° are merged.

Structural model:
```
data_NaSc2MnS4
_chemical_formula_sum 'Na2 Sc4 Mn2 S8'
_symmetry_space_group_name_H-M 'I -4 m 2'
_symmetry_Int_Tables_number 119
_symmetry_space_group_name_Hall 'I -4 -2'
_cell_length_a 5.2641
_cell_length_b 5.2641
_cell_length_c 10.6196
_cell_angle_alpha 90.00
_cell_angle_beta 90.00
_cell_angle_gamma 90.00
loop_
_atom_site_label
_atom_site_type_symbol
_atom_site_fract_x
_atom_site_fract_y
_atom_site_fract_z
Na1 Na 0.0000 0.0000 0.0000
Sc1 Sc 0.0000 0.0000 0.5000
Sc2 Sc 0.0000 0.5000 0.2500
Mn1 Mn 0.0000 0.5000 0.7500
S1 S 0.0000 0.0000 0.2584
S2 S 0.0000 0.5000 0.0029
```

Largest 6 diffraction maxima, low angle first, 2θ from 5° to 70°:
- d = 4.716 Å, 18.81 deg, I = 73, (1 0 1)
- d = 2.655 Å, 33.76 deg, I = 508, (0 0 4)
- d = 2.632 Å, 34.06 deg, I = 1000, (2 0 0)
- d = 1.869 Å, 48.72 deg, I = 648, (2 0 4)
- d = 1.861 Å, 48.94 deg, I = 323, (2 2 0)
- d = 1.524 Å, 60.78 deg, I = 314, (2 2 4)